[1]
# MgV3SnO8
Computed X-ray diffraction stick pattern, Cu Kα, 1.54184 Å. Input: the GGA+U geometry in the Materials Project.
Intensities are scaled so that the largest is 100.

Structural model:
```
MgV3SnO8
1.0
6.282 -1.979 0.000
6.282 1.979 0.000
-1.963 0.000 6.789
Mg V Sn O
1 3 1 8
direct
0.000 0.000 0.000
0.577 0.577 0.319
0.773 0.773 0.683
0.864 0.864 0.264
0.469 0.469 0.676
0.029 0.029 0.289
0.309 0.309 0.703
0.407 0.407 0.350
0.535 0.535 0.991
0.613 0.613 0.612
0.741 0.741 0.378
0.826 0.826 0.012
0.945 0.945 0.701
```

Main lines, low angle first (5 to 70 degrees two-theta):
d 6.789, intensity 62.5
d 6.035, intensity 100.0
d 3.760, intensity 68.9
d 3.393, intensity 49.9
d 3.175, intensity 54.9
d 3.095, intensity 41.1
d 2.263, intensity 44.1
d 1.979, intensity 47.4

---

[2]
# MgV3SnO8
Computed X-ray diffraction stick pattern, Cu Kα, 1.54184 Å. Input: the GGA+U geometry in the Materials Project.
Intensities are scaled so that the largest is 100.

Structural model:
```
MgV3SnO8
1.0
4.005 0.000 0.000
-1.977 6.383 0.000
-0.005 -2.080 6.510
Mg V Sn O
1 3 1 8
direct
0.000 0.000 0.000
0.474 0.958 0.702
0.574 0.155 0.340
0.707 0.559 0.703
0.867 0.741 0.303
0.034 0.077 0.305
0.310 0.623 0.699
0.413 0.834 0.378
0.534 0.071 0.006
0.602 0.249 0.647
0.730 0.475 0.395
0.837 0.675 0.998
0.938 0.888 0.683
```

Main lines, low angle first (5 to 70 degrees two-theta):
d 6.510, intensity 61.1
d 6.080, intensity 99.8
d 3.804, intensity 100.0
d 3.255, intensity 38.6
d 3.157, intensity 54.8
d 3.146, intensity 43.0
d 2.170, intensity 44.2
d 2.002, intensity 45.3

---

[3]
# MgV4SnO12
Computed X-ray diffraction stick pattern, Cu Kα, 1.54184 Å. Input: the GGA+U geometry in the Materials Project.
Intensities are scaled so that the largest is 100.

Structural model:
```
MgV4SnO12
1.0
5.476 -4.599 0.000
5.476 4.599 0.000
-2.578 0.000 5.276
Mg V Sn O
1 4 1 12
direct
0.000 0.000 0.000
0.045 0.362 0.435
0.457 0.135 0.068
0.638 0.955 0.565
0.865 0.543 0.932
0.351 0.649 0.000
0.058 0.714 0.036
0.118 0.121 0.395
0.237 0.518 0.613
0.286 0.942 0.964
0.360 0.366 0.026
0.482 0.763 0.387
0.575 0.134 0.401
0.634 0.640 0.974
0.655 0.050 0.901
0.866 0.425 0.599
0.879 0.882 0.605
0.950 0.345 0.099
```

Main lines, low angle first (5 to 70 degrees two-theta):
d 5.276, intensity 35.7
d 4.929, intensity 36.0
d 4.800, intensity 33.5
d 4.599, intensity 30.7
d 3.652, intensity 33.7
d 3.321, intensity 100.0
d 3.090, intensity 49.6
d 2.638, intensity 34.9